# Na4W5O15
Simulated PXRD pattern, Cu Kα (weighted mean of Kα1 and Kα2). Input: the GGA+U geometry in Alexandria.
Lines closer than 0.1° are merged.

Cell and atoms:
```
data_Na4W5O15
_cell_length_a 16.7887
_cell_length_b 5.5931
_cell_length_c 6.8578
_cell_angle_alpha 90.00
_cell_angle_beta 105.21
_cell_angle_gamma 90.00
_space_group_name_H-M_alt 'C 1 2/m 1'
_space_group_IT_number 12
loop_
_space_group_symop_operation_xyz
'x,y,z'
'-x,-y,-z'
'-x,y,-z'
'x,-y,z'
'x+1/2,y+1/2,z'
'-x+1/2,-y+1/2,-z'
'-x+1/2,y+1/2,-z'
'x+1/2,-y+1/2,z'
loop_
_atom_site_label
_atom_site_type_symbol
_atom_site_fract_x
_atom_site_fract_y
_atom_site_fract_z
Na1 Na 0.0945 0.0000 0.4055
Na2 Na 0.1959 0.5000 0.7987
W1 W 0.0000 0.5000 0.5000
W2 W 0.0986 0.0000 0.8976
W3 W 0.1977 0.5000 0.2964
O1 O 0.0000 0.0000 0.0000
O2 O 0.0528 0.2448 0.6947
O3 O 0.1050 0.5000 0.3986
O4 O 0.1553 0.2502 0.1073
O5 O 0.2008 0.0000 0.8020
O6 O 0.2500 0.2500 0.5000
```

The 6 most intense peaks (10° ≤ 2θ ≤ 90°), low angle first:
| Position (°2θ) | I_rel |
| --- | --- |
| 22.40 | 100 |
| 22.53 | 49 |
| 31.95 | 65 |
| 32.05 | 43 |
| 45.73 | 29 |
| 51.65 | 32 |